For Y2Tl2MoO6, a cell relaxed with PBE+U gives the computed X-ray powder pattern in this record (Cu Ka).
Intensities are scaled so that the largest is 100.

Principal peaks in the range 2θ = 15–90°, in order of falling intensity:
- 2.519 Å, intensity 100
- 2.801 Å, intensity 81
- 3.270 Å, intensity 71
- 2.525 Å, intensity 63
- 4.956 Å, intensity 47
- 2.844 Å, intensity 43
- 1.875 Å, intensity 38
- 1.634 Å, intensity 33
- 1.703 Å, intensity 31
- 4.516 Å, intensity 30

Crystal structure
Cell: 5.9251 10.1002 6.8120 Å, 90.00 106.25 90.00°
Space group C2/m (No. 12)
Unique sites:
Y  0.0000  0.1646  0.0000
Tl  0.0000  0.3365  0.5000
Mo  0.0000  0.5000  0.0000
O  0.2049  0.3459  0.1604
O  0.2408  0.0000  0.1728